Structure and computed XRD peak list of Be2VHgO (a GGA+U-relaxed structure; CuKα).

Principal peaks in the range 2θ from 10° to 90°, most intense first:
19.70°, d = 4.506 Å, intensity 100, hkl 1 0 0; 40.07°, d = 2.250 Å, intensity 58, hkl 2 0 0; 45.03°, d = 2.013 Å, intensity 53, hkl 1 1 2; 28.00°, d = 3.186 Å, intensity 52, hkl 1 1 0; 32.99°, d = 2.715 Å, intensity 33, hkl 1 1 1; 26.20°, d = 3.402 Å, intensity 32, hkl 1 0 1; 57.93°, d = 1.592 Å, intensity 31, hkl 2 2 0; 17.09°, d = 5.188 Å, intensity 28, hkl 0 0 1

Cell and atoms:
a = 4.506 Å, b = 4.506 Å, c = 5.188 Å
α = 90.00°, β = 90.00°, γ = 90.00°
Atoms (fractional coordinates):
Be1 0.000 0.500 0.000
Be2 0.500 0.000 0.000
V1 0.000 0.000 0.000
Hg1 0.000 0.000 0.500
O1 0.500 0.500 0.500